Record 1
LiMnO2: computed powder X-ray diffraction pattern (copper Kα), based on a DFT-relaxed cell (GGA+U, the Materials Project).
Peak positions follow from Bragg's law for the DFT cell and can differ from measured ones.

Top 10 peaks for 2θ = 5–70°, by intensity:
2θ 18.2, I = 100; 2θ 42.3, I = 99; 2θ 43.0, I = 94; 2θ 43.4, I = 91; 2θ 18.3, I = 85; 2θ 29.9, I = 62; 2θ 21.1, I = 52; 2θ 62.1, I = 51; 2θ 21.3, I = 50; 2θ 36.9, I = 32

```
data_LiMnO2
_chemical_formula_sum 'Li8 Mn8 O16'
_space_group_name_H-M_alt 'P 1'
_space_group_IT_number 1
_cell_length_a 5.913
_cell_length_b 5.965
_cell_length_c 10.271
_cell_angle_alpha 74.35
_cell_angle_beta 73.59
_cell_angle_gamma 60.87
loop_
_space_group_symop_operation_xyz
'x,y,z'
loop_
_atom_site_label
_atom_site_type_symbol
_atom_site_fract_x
_atom_site_fract_y
_atom_site_fract_z
_atom_site_occupancy
Li1 Li 0.000 0.000 0.000 1
Li2 Li 0.000 0.500 0.000 1
Li3 Li 0.246 0.231 0.758 1
Li4 Li 0.253 0.253 0.250 1
Li5 Li 0.500 0.000 0.500 1
Li6 Li 0.500 0.500 0.500 1
Li7 Li 0.747 0.747 0.750 1
Li8 Li 0.754 0.769 0.242 1
Mn1 Mn 0.000 0.000 0.500 1
Mn2 Mn 0.000 0.500 0.500 1
Mn3 Mn 0.249 0.736 0.754 1
Mn4 Mn 0.249 0.753 0.251 1
Mn5 Mn 0.500 0.000 0.000 1
Mn6 Mn 0.500 0.500 0.000 1
Mn7 Mn 0.751 0.247 0.749 1
Mn8 Mn 0.751 0.264 0.246 1
O1 O 0.108 0.648 0.609 1
O2 O 0.142 0.092 0.618 1
O3 O 0.149 0.100 0.127 1
O4 O 0.160 0.626 0.126 1
O5 O 0.338 0.880 0.378 1
O6 O 0.346 0.408 0.374 1
O7 O 0.357 0.364 0.877 1
O8 O 0.383 0.856 0.884 1
O9 O 0.617 0.144 0.116 1
O10 O 0.643 0.636 0.123 1
O11 O 0.654 0.592 0.626 1
O12 O 0.662 0.120 0.622 1
O13 O 0.840 0.374 0.874 1
O14 O 0.851 0.900 0.873 1
O15 O 0.858 0.908 0.382 1
O16 O 0.892 0.352 0.391 1
```


Record 2
NaVP2O7: computed powder X-ray diffraction pattern (copper Kα), based on a DFT-relaxed cell (GGA+U, the Materials Project).
Peak positions follow from Bragg's law for the DFT cell and can differ from measured ones.

Top 10 peaks for 2θ = 5–70°, by intensity:
2θ 29.1, I = 100; 2θ 16.7, I = 72; 2θ 28.1, I = 60; 2θ 22.3, I = 52; 2θ 25.9, I = 31; 2θ 33.8, I = 24; 2θ 21.7, I = 22; 2θ 42.8, I = 21; 2θ 38.3, I = 19; 2θ 29.4, I = 18

```
data_NaVP2O7
_chemical_formula_sum 'Na2 V2 P4 O14'
_space_group_name_H-M_alt 'P 1'
_space_group_IT_number 1
_cell_length_a 4.909
_cell_length_b 8.325
_cell_length_c 7.175
_cell_angle_alpha 90.00
_cell_angle_beta 106.88
_cell_angle_gamma 90.00
loop_
_space_group_symop_operation_xyz
'x,y,z'
loop_
_atom_site_label
_atom_site_type_symbol
_atom_site_fract_x
_atom_site_fract_y
_atom_site_fract_z
_atom_site_occupancy
Na1 Na 0.226 0.000 0.238 1
Na2 Na 0.774 0.500 0.762 1
V1 V 0.220 0.583 0.232 1
V2 V 0.780 0.083 0.768 1
P1 P 0.230 0.850 0.615 1
P2 P 0.385 0.279 0.995 1
P3 P 0.615 0.779 0.005 1
P4 P 0.770 0.350 0.385 1
O1 O 0.029 0.395 0.319 1
O2 O 0.153 0.749 0.431 1
O3 O 0.158 0.147 0.954 1
O4 O 0.265 0.448 0.997 1
O5 O 0.407 0.999 0.592 1
O6 O 0.416 0.769 0.134 1
O7 O 0.432 0.734 0.782 1
O8 O 0.568 0.234 0.218 1
O9 O 0.584 0.269 0.866 1
O10 O 0.593 0.499 0.408 1
O11 O 0.735 0.948 0.003 1
O12 O 0.842 0.647 0.046 1
O13 O 0.847 0.249 0.569 1
O14 O 0.971 0.895 0.681 1
```


Record 3
Ba2MgMn3Tl2Zn2O10: computed powder X-ray diffraction pattern (copper Kα), based on a DFT-relaxed cell (GGA+U, the Materials Project).
Peak positions follow from Bragg's law for the DFT cell and can differ from measured ones.

Top 10 peaks for 2θ = 5–70°, by intensity:
2θ 32.8, I = 100; 2θ 30.0, I = 83; 2θ 29.4, I = 66; 2θ 32.5, I = 61; 2θ 33.3, I = 58; 2θ 32.8, I = 52; 2θ 39.5, I = 50; 2θ 8.6, I = 44; 2θ 12.9, I = 44; 2θ 48.0, I = 44

```
data_Ba2MgMn3Tl2Zn2O10
_chemical_formula_sum 'Ba2 Mg1 Mn3 Tl2 Zn2 O10'
_space_group_name_H-M_alt 'P 1'
_space_group_IT_number 1
_cell_length_a 3.792
_cell_length_b 3.999
_cell_length_c 20.654
_cell_angle_alpha 94.54
_cell_angle_beta 94.02
_cell_angle_gamma 90.03
loop_
_space_group_symop_operation_xyz
'x,y,z'
loop_
_atom_site_label
_atom_site_type_symbol
_atom_site_fract_x
_atom_site_fract_y
_atom_site_fract_z
_atom_site_occupancy
Ba1 Ba 0.000 0.000 0.000 1
Ba2 Ba 0.240 0.811 0.550 1
Mg1 Mg 0.459 0.387 0.894 1
Mn1 Mn 0.540 0.545 0.099 1
Mn2 Mn 0.618 0.208 0.288 1
Mn3 Mn 0.699 0.274 0.450 1
Tl1 Tl 0.323 0.791 0.779 1
Tl2 Tl 0.788 0.355 0.676 1
Zn1 Zn 0.067 0.062 0.164 1
Zn2 Zn 0.152 0.743 0.366 1
O1 O 0.048 0.558 0.119 1
O2 O 0.106 0.185 0.256 1
O3 O 0.181 0.258 0.403 1
O4 O 0.286 0.991 0.679 1
O5 O 0.497 0.513 0.991 1
O6 O 0.547 0.053 0.115 1
O7 O 0.630 0.718 0.313 1
O8 O 0.708 0.776 0.451 1
O9 O 0.740 0.313 0.552 1
O10 O 0.954 0.244 0.882 1
```


Record 4
Na2Ni3P2H2O10: computed powder X-ray diffraction pattern (copper Kα), based on a DFT-relaxed cell (GGA+U, the Materials Project).
Peak positions follow from Bragg's law for the DFT cell and can differ from measured ones.

Top 10 peaks for 2θ = 5–70°, by intensity:
2θ 12.6, I = 100; 2θ 36.4, I = 31; 2θ 40.2, I = 20; 2θ 36.2, I = 19; 2θ 33.5, I = 17; 2θ 47.5, I = 15; 2θ 24.5, I = 14; 2θ 27.6, I = 11; 2θ 50.3, I = 11; 2θ 25.4, I = 11

```
data_Na2Ni3P2H2O10
_chemical_formula_sum 'Na2 Ni3 P2 H2 O10'
_space_group_name_H-M_alt 'P 1'
_space_group_IT_number 1
_cell_length_a 7.788
_cell_length_b 7.788
_cell_length_c 4.985
_cell_angle_alpha 102.93
_cell_angle_beta 102.93
_cell_angle_gamma 43.27
loop_
_space_group_symop_operation_xyz
'x,y,z'
loop_
_atom_site_label
_atom_site_type_symbol
_atom_site_fract_x
_atom_site_fract_y
_atom_site_fract_z
_atom_site_occupancy
Na1 Na 0.235 0.235 0.284 1
Na2 Na 0.765 0.765 0.716 1
Ni1 Ni 0.000 0.000 0.000 1
Ni2 Ni 0.268 0.732 0.500 1
Ni3 Ni 0.732 0.268 0.500 1
P1 P 0.376 0.376 0.904 1
P2 P 0.624 0.624 0.096 1
H1 H 0.140 0.140 0.752 1
H2 H 0.860 0.860 0.248 1
O1 O 0.071 0.071 0.711 1
O2 O 0.188 0.638 0.783 1
O3 O 0.267 0.267 0.809 1
O4 O 0.362 0.812 0.217 1
O5 O 0.407 0.407 0.229 1
O6 O 0.593 0.593 0.771 1
O7 O 0.638 0.188 0.783 1
O8 O 0.733 0.733 0.191 1
O9 O 0.812 0.362 0.217 1
O10 O 0.929 0.929 0.289 1
```


Record 5
Mn6O5F7: computed powder X-ray diffraction pattern (copper Kα), based on a DFT-relaxed cell (GGA+U, the Materials Project).
Peak positions follow from Bragg's law for the DFT cell and can differ from measured ones.

Top 10 peaks for 2θ = 5–70°, by intensity:
2θ 28.4, I = 100; 2θ 29.2, I = 89; 2θ 30.3, I = 81; 2θ 31.2, I = 60; 2θ 49.3, I = 39; 2θ 42.1, I = 38; 2θ 54.3, I = 35; 2θ 40.8, I = 32; 2θ 23.5, I = 27; 2θ 15.6, I = 24

```
data_Mn6O5F7
_chemical_formula_sum 'Mn12 O10 F14'
_space_group_name_H-M_alt 'P 1'
_space_group_IT_number 1
_cell_length_a 5.092
_cell_length_b 5.697
_cell_length_c 14.798
_cell_angle_alpha 87.60
_cell_angle_beta 84.88
_cell_angle_gamma 89.88
loop_
_space_group_symop_operation_xyz
'x,y,z'
loop_
_atom_site_label
_atom_site_type_symbol
_atom_site_fract_x
_atom_site_fract_y
_atom_site_fract_z
_atom_site_occupancy
Mn1 Mn 0.000 0.000 0.000 1
Mn2 Mn 0.003 0.005 0.663 1
Mn3 Mn 0.021 0.665 0.831 1
Mn4 Mn 0.437 0.099 0.487 1
Mn5 Mn 0.443 0.674 0.326 1
Mn6 Mn 0.449 0.599 0.656 1
Mn7 Mn 0.481 0.147 0.165 1
Mn8 Mn 0.494 0.110 0.829 1
Mn9 Mn 0.522 0.672 0.987 1
Mn10 Mn 0.929 0.977 0.316 1
Mn11 Mn 0.978 0.436 0.160 1
Mn12 Mn 0.994 0.694 0.486 1
O1 O 0.137 0.192 0.230 1
O2 O 0.203 0.759 0.930 1
O3 O 0.220 0.810 0.576 1
O4 O 0.221 0.898 0.396 1
O5 O 0.237 0.887 0.755 1
O6 O 0.617 0.929 0.250 1
O7 O 0.713 0.928 0.917 1
O8 O 0.753 0.740 0.397 1
O9 O 0.759 0.164 0.739 1
O10 O 0.815 0.200 0.091 1
F1 F 0.118 0.673 0.239 1
F2 F 0.251 0.283 0.597 1
F3 F 0.254 0.228 0.928 1
F4 F 0.273 0.439 0.415 1
F5 F 0.288 0.403 0.770 1
F6 F 0.316 0.935 0.076 1
F7 F 0.351 0.438 0.081 1
F8 F 0.614 0.443 0.243 1
F9 F 0.739 0.976 0.572 1
F10 F 0.749 0.210 0.401 1
F11 F 0.751 0.496 0.563 1
F12 F 0.769 0.457 0.905 1
F13 F 0.780 0.668 0.735 1
F14 F 0.822 0.686 0.076 1
```


Record 6
FeCuO2: computed powder X-ray diffraction pattern (copper Kα), based on a DFT-relaxed cell (GGA+U, the Materials Project).
Peak positions follow from Bragg's law for the DFT cell and can differ from measured ones.

Top 10 peaks for 2θ = 5–70°, by intensity:
2θ 35.3, I = 100; 2θ 54.8, I = 30; 2θ 31.1, I = 29; 2θ 39.9, I = 25; 2θ 64.4, I = 19; 2θ 60.3, I = 17; 2θ 39.8, I = 13; 2θ 69.4, I = 11; 2θ 60.4, I = 8; 2θ 34.1, I = 8

```
data_FeCuO2
_chemical_formula_sum 'Fe1 Cu1 O2'
_space_group_name_H-M_alt 'P 1'
_space_group_IT_number 1
_cell_length_a 3.071
_cell_length_b 3.071
_cell_length_c 6.020
_cell_angle_alpha 104.85
_cell_angle_beta 104.85
_cell_angle_gamma 59.83
loop_
_space_group_symop_operation_xyz
'x,y,z'
loop_
_atom_site_label
_atom_site_type_symbol
_atom_site_fract_x
_atom_site_fract_y
_atom_site_fract_z
_atom_site_occupancy
Fe1 Fe 0.000 0.000 0.000 1
Cu1 Cu 0.500 0.500 0.500 1
O1 O 0.393 0.393 0.179 1
O2 O 0.607 0.607 0.821 1
```


Record 7
MnCdO2: computed powder X-ray diffraction pattern (copper Kα), based on a DFT-relaxed cell (GGA+U, the Materials Project).
Peak positions follow from Bragg's law for the DFT cell and can differ from measured ones.

Top 10 peaks for 2θ = 5–70°, by intensity:
2θ 38.6, I = 100; 2θ 33.3, I = 92; 2θ 55.8, I = 62; 2θ 66.5, I = 37; 2θ 69.9, I = 20; 2θ 19.0, I = 16; 2θ 27.1, I = 14; 2θ 43.4, I = 8; 2θ 47.8, I = 6; 2θ 59.5, I = 4

```
data_MnCdO2
_chemical_formula_sum 'Mn1 Cd1 O2'
_space_group_name_H-M_alt 'P 1'
_space_group_IT_number 1
_cell_length_a 3.296
_cell_length_b 3.296
_cell_length_c 4.662
_cell_angle_alpha 90.00
_cell_angle_beta 90.00
_cell_angle_gamma 90.00
loop_
_space_group_symop_operation_xyz
'x,y,z'
loop_
_atom_site_label
_atom_site_type_symbol
_atom_site_fract_x
_atom_site_fract_y
_atom_site_fract_z
_atom_site_occupancy
Mn1 Mn 0.000 0.000 0.000 1
Cd1 Cd 0.500 0.500 0.500 1
O1 O 0.000 0.000 0.500 1
O2 O 0.500 0.500 0.000 1
```


Q: Which formula does entry 5 have?
A: Mn6O5F7


Q: Which formula does entry 6 have?
A: FeCuO2